For K3Tm3NpS8, DFT lattice parameters and positions (GGA-PBE) gives the calculated powder diffractogram in this record (Cu Kα (weighted mean of Kα1 and Kα2)).
No peak broadening, texture or thermal motion is included.

Structural model:
Lattice parameters (Å, degrees): 8.7746 8.7746 8.7746 53.99 53.99 53.99
Positions (direct):
1 K 0.0000 0.5000 0.5000
2 K 0.5000 0.0000 0.5000
3 K 0.5000 0.5000 0.0000
4 Tm 0.0000 0.0000 0.5000
5 Tm 0.0000 0.5000 0.0000
6 Tm 0.5000 0.0000 0.0000
7 Np 0.5000 0.5000 0.5000
8 S 0.2325 0.2325 0.2325
9 S 0.2333 0.7305 0.7305
10 S 0.2695 0.2695 0.7667
11 S 0.2695 0.7667 0.2695
12 S 0.7305 0.2333 0.7305
13 S 0.7305 0.7305 0.2333
14 S 0.7667 0.2695 0.2695
15 S 0.7675 0.7675 0.7675

The 10 most intense peaks (2θ from 10° to 90°), by angle:
2θ/deg	I/Imax
11.84	100
23.81	17
26.14	33
27.05	32
30.43	82
38.35	24
41.52	30
45.55	27
47.24	20
55.77	14



For K2Np2VS6, DFT lattice parameters and positions (GGA-PBE) gives the calculated powder diffractogram in this record (Cu Kα (weighted mean of Kα1 and Kα2)).
No peak broadening, texture or thermal motion is included.

Structural model:
Lattice parameters (Å, degrees): 6.6339 6.6339 7.8747 98.27 98.27 119.42
Positions (direct):
1 K 0.1694 0.8306 0.0000
2 K 0.8306 0.1694 0.0000
3 Np 0.3338 0.6662 0.5000
4 Np 0.6662 0.3338 0.5000
5 V 0.0000 0.0000 0.5000
6 S 0.0648 0.3787 0.6905
7 S 0.2454 0.2454 0.3104
8 S 0.3787 0.0648 0.6905
9 S 0.6213 0.9352 0.3095
10 S 0.7546 0.7546 0.6896
11 S 0.9352 0.6213 0.3095

The 10 most intense peaks (2θ from 10° to 90°), by angle:
2θ/deg	I/Imax
11.72	100
17.22	14
23.57	16
27.18	19
28.03	17
31.02	24
31.26	52
38.91	15
41.91	27
47.19	15



For K3Y3NpS8, DFT lattice parameters and positions (GGA-PBE) gives the calculated powder diffractogram in this record (Cu Kα (weighted mean of Kα1 and Kα2)).
No peak broadening, texture or thermal motion is included.

Structural model:
Lattice parameters (Å, degrees): 8.8110 8.8110 8.8110 54.48 54.48 54.48
Positions (direct):
1 K 0.0000 0.5000 0.5000
2 K 0.5000 0.0000 0.5000
3 K 0.5000 0.5000 0.0000
4 Y 0.0000 0.0000 0.5000
5 Y 0.0000 0.5000 0.0000
6 Y 0.5000 0.0000 0.0000
7 Np 0.5000 0.5000 0.5000
8 S 0.2335 0.2335 0.2335
9 S 0.2379 0.7287 0.7287
10 S 0.2713 0.2713 0.7621
11 S 0.2713 0.7621 0.2713
12 S 0.7287 0.2379 0.7287
13 S 0.7287 0.7287 0.2379
14 S 0.7621 0.2713 0.2713
15 S 0.7665 0.7665 0.7665

The 10 most intense peaks (2θ from 10° to 90°), by angle:
2θ/deg	I/Imax
11.83	87
13.27	30
25.81	23
26.73	23
30.14	100
38.10	22
41.28	34
44.95	33
46.65	17
55.08	17



For K2NpZn2S4, DFT lattice parameters and positions (GGA-PBE) gives the calculated powder diffractogram in this record (Cu Kα (weighted mean of Kα1 and Kα2)).
No peak broadening, texture or thermal motion is included.

Structural model:
Lattice parameters (Å, degrees): 7.7602 7.7602 7.6939 108.05 108.05 30.13
Positions (direct):
1 K 0.1275 0.1275 0.0505
2 K 0.8725 0.8725 0.9495
3 Np 0.0000 0.0000 0.5000
4 Zn 0.3296 0.3296 0.5157
5 Zn 0.6704 0.6704 0.4843
6 S 0.2075 0.2075 0.6697
7 S 0.4792 0.4792 0.7399
8 S 0.5208 0.5208 0.2601
9 S 0.7925 0.7925 0.3303

The 10 most intense peaks (2θ from 10° to 90°), by angle:
2θ/deg	I/Imax
12.15	100
12.47	21
24.43	21
25.05	16
29.11	43
32.19	27
34.00	57
38.07	17
42.26	15
52.69	14



For K3NpSb3Se8, DFT lattice parameters and positions (GGA-PBE) gives the calculated powder diffractogram in this record (Cu Kα (weighted mean of Kα1 and Kα2)).
No peak broadening, texture or thermal motion is included.

Structural model:
Lattice parameters (Å, degrees): 9.2294 9.2294 9.2294 54.24 54.24 54.24
Positions (direct):
1 K 0.0000 0.5000 0.5000
2 K 0.5000 0.0000 0.5000
3 K 0.5000 0.5000 0.0000
4 Np 0.5000 0.5000 0.5000
5 Sb 0.0000 0.0000 0.5000
6 Sb 0.0000 0.5000 0.0000
7 Sb 0.5000 0.0000 0.0000
8 Se 0.2356 0.2356 0.2356
9 Se 0.2398 0.7294 0.7294
10 Se 0.2706 0.2706 0.7602
11 Se 0.2706 0.7602 0.2706
12 Se 0.7294 0.2398 0.7294
13 Se 0.7294 0.7294 0.2398
14 Se 0.7602 0.2706 0.2706
15 Se 0.7644 0.7644 0.7644

The 10 most intense peaks (2θ from 10° to 90°), by angle:
2θ/deg	I/Imax
11.28	75
24.72	14
28.82	100
36.35	25
39.36	33
42.99	36
44.59	16
49.39	15
52.59	18
70.18	15



For K2NpScSe4, DFT lattice parameters and positions (GGA-PBE) gives the calculated powder diffractogram in this record (Cu Kα (weighted mean of Kα1 and Kα2)).
No peak broadening, texture or thermal motion is included.

Structural model:
Lattice parameters (Å, degrees): 7.1669 4.1553 8.0204 90.00 107.37 90.00
Positions (direct):
1 K 0.0000 0.0000 0.0000
2 K 0.5000 0.5000 0.0000
3 Np 0.0000 0.5000 0.5000
4 Sc 0.5000 0.0000 0.5000
5 Se 0.2470 0.0000 0.7036
6 Se 0.2796 0.5000 0.3019
7 Se 0.7204 0.5000 0.6981
8 Se 0.7530 0.0000 0.2964

The 10 most intense peaks (2θ from 10° to 90°), by angle:
2θ/deg	I/Imax
11.56	56
12.94	12
14.56	13
29.34	100
37.12	21
40.22	33
43.56	12
43.71	23
50.57	12
53.41	12



For K4NpSe5, DFT lattice parameters and positions (GGA-PBE) gives the calculated powder diffractogram in this record (Cu Kα (weighted mean of Kα1 and Kα2)).
No peak broadening, texture or thermal motion is included.

Structural model:
Lattice parameters (Å, degrees): 7.9601 7.9601 7.9601 99.34 99.34 132.49
Positions (direct):
1 K 0.0991 0.3001 0.3992
2 K 0.3001 0.9009 0.2010
3 K 0.6999 0.0991 0.7990
4 K 0.9009 0.6999 0.6008
5 Np 0.5246 0.5246 0.0000
6 Se 0.2530 0.5783 0.8321
7 Se 0.4209 0.2530 0.6747
8 Se 0.5783 0.7461 0.3253
9 Se 0.7461 0.4209 0.1679
10 Se 0.9455 0.9455 0.0000

The 10 most intense peaks (2θ from 10° to 90°), by angle:
2θ/deg	I/Imax
12.15	96
16.28	92
17.21	23
27.37	100
27.82	57
30.46	19
38.67	29
39.10	43
39.43	68
48.66	41



For KNpTiSe3, DFT lattice parameters and positions (GGA-PBE) gives the calculated powder diffractogram in this record (Cu Kα (weighted mean of Kα1 and Kα2)).
No peak broadening, texture or thermal motion is included.

Structural model:
Lattice parameters (Å, degrees): 9.1733 4.1589 9.8073 90.00 107.49 90.00
Positions (direct):
1 K 0.2022 0.2500 0.2276
2 K 0.7978 0.7500 0.7724
3 Np 0.3309 0.7500 0.8527
4 Np 0.6691 0.2500 0.1473
5 Ti 0.0833 0.2500 0.6001
6 Ti 0.9167 0.7500 0.3999
7 Se 0.1097 0.2500 0.8604
8 Se 0.2048 0.7500 0.5304
9 Se 0.4564 0.7500 0.1585
10 Se 0.5436 0.2500 0.8415
11 Se 0.7952 0.2500 0.4696
12 Se 0.8903 0.7500 0.1396

The 10 most intense peaks (2θ from 10° to 90°), by angle:
2θ/deg	I/Imax
11.59	100
23.69	15
28.64	30
29.19	52
29.64	30
34.94	20
36.47	13
43.52	14
43.81	24
46.78	13